(1)
Structure and calculated X-ray diffraction stick pattern of MgMnCo2O6 (a DFT-relaxed cell (PBE+U, the Materials Project); a wavelength of 1.5418 Å).
Kinematic intensities with the Lorentz-polarization factor, no thermal factor.

Structural model:
Cell lengths 2.925, 6.255, 7.236 Å; angles 108.56, 101.53, 90.16 degrees
Fractional positions:
1 Mg 0.000 0.000 0.000
2 Mn 0.899 0.268 0.792
3 Co 0.238 0.911 0.470
4 Co 0.579 0.580 0.150
5 O 0.044 0.343 0.084
6 O 0.080 0.797 0.147
7 O 0.406 0.039 0.808
8 O 0.412 0.466 0.816
9 O 0.717 0.703 0.430
10 O 0.759 0.124 0.511

Peak list (8 most intense, 10 to 90 degrees two-theta, in order of rising 2θ)
2θ = 16.4°, 5.390 Å, I 100.0
2θ = 34.8°, 2.578 Å, I 14.0
2θ = 35.8°, 2.506 Å, I 24.6
2θ = 40.4°, 2.235 Å, I 14.3
2θ = 42.4°, 2.133 Å, I 12.9
2θ = 42.5°, 2.127 Å, I 12.9
2θ = 51.6°, 1.771 Å, I 7.9
2θ = 62.5°, 1.487 Å, I 10.2



(2)
Structure and calculated X-ray diffraction stick pattern of Li3FeO4 (a DFT-relaxed cell (PBE+U, the Materials Project); a wavelength of 1.5418 Å).
Kinematic intensities with the Lorentz-polarization factor, no thermal factor.

Structural model:
Cell lengths 5.017, 5.841, 10.118 Å; angles 73.29, 79.34, 89.99 degrees
Fractional positions:
1 Li 0.000 0.000 0.000
2 Li 0.000 0.494 0.000
3 Li 0.005 0.994 0.506
4 Li 0.251 0.371 0.250
5 Li 0.251 0.873 0.251
6 Li 0.497 0.246 0.002
7 Li 0.498 0.746 0.002
8 Li 0.501 0.246 0.501
9 Li 0.501 0.748 0.501
10 Li 0.752 0.122 0.751
11 Li 0.752 0.621 0.751
12 Li 0.992 0.499 0.497
13 Fe 0.250 0.371 0.751
14 Fe 0.257 0.872 0.751
15 Fe 0.745 0.622 0.250
16 Fe 0.753 0.122 0.250
17 O 0.090 0.679 0.135
18 O 0.094 0.178 0.136
19 O 0.138 0.165 0.637
20 O 0.138 0.692 0.637
21 O 0.368 0.053 0.866
22 O 0.368 0.575 0.866
23 O 0.404 0.565 0.365
24 O 0.413 0.066 0.363
25 O 0.591 0.428 0.638
26 O 0.599 0.928 0.637
27 O 0.635 0.440 0.135
28 O 0.635 0.918 0.135
29 O 0.864 0.328 0.364
30 O 0.865 0.802 0.364
31 O 0.910 0.315 0.864
32 O 0.913 0.814 0.866

Peak list (8 most intense, 10 to 90 degrees two-theta, in order of rising 2θ)
2θ = 18.6°, 4.759 Å, I 100.0
2θ = 21.9°, 4.063 Å, I 25.7
2θ = 30.5°, 2.935 Å, I 10.9
2θ = 30.6°, 2.921 Å, I 10.5
2θ = 36.1°, 2.489 Å, I 26.5
2θ = 43.7°, 2.070 Å, I 46.8
2θ = 44.6°, 2.031 Å, I 20.8
2θ = 64.2°, 1.451 Å, I 16.9



(3)
Structure and calculated X-ray diffraction stick pattern of MnOF (a DFT-relaxed cell (PBE+U, the Materials Project); a wavelength of 1.5418 Å).
Kinematic intensities with the Lorentz-polarization factor, no thermal factor.

Structural model:
Cell lengths 5.736, 6.916, 6.952 Å; angles 95.63, 92.06, 92.79 degrees
Fractional positions:
1 Mn 0.000 0.000 0.000
2 Mn 0.002 0.521 0.527
3 Mn 0.194 0.002 0.518
4 Mn 0.204 0.476 0.019
5 Mn 0.493 0.252 0.271
6 Mn 0.509 0.757 0.764
7 Mn 0.647 0.765 0.247
8 Mn 0.745 0.261 0.748
9 O 0.233 0.211 0.068
10 O 0.236 0.734 0.581
11 O 0.442 0.986 0.331
12 O 0.451 0.519 0.213
13 O 0.732 0.813 0.975
14 O 0.746 0.316 0.489
15 O 0.965 0.062 0.730
16 O 0.976 0.461 0.796
17 F 0.226 0.283 0.484
18 F 0.248 0.763 0.976
19 F 0.489 0.056 0.730
20 F 0.497 0.459 0.799
21 F 0.728 0.727 0.541
22 F 0.741 0.229 0.029
23 F 0.949 0.965 0.280
24 F 0.962 0.565 0.251

Peak list (8 most intense, 10 to 90 degrees two-theta, in order of rising 2θ)
2θ = 23.9°, 3.725 Å, I 64.0
2θ = 25.4°, 3.501 Å, I 48.6
2θ = 29.6°, 3.016 Å, I 100.0
2θ = 30.8°, 2.906 Å, I 48.5
2θ = 31.0°, 2.880 Å, I 46.5
2θ = 52.2°, 1.751 Å, I 43.9
2θ = 53.0°, 1.728 Å, I 37.2
2θ = 53.3°, 1.718 Å, I 23.6



(4)
Structure and calculated X-ray diffraction stick pattern of CaWO4 (a DFT-relaxed cell (PBE+U, the Materials Project); a wavelength of 1.5418 Å).
Kinematic intensities with the Lorentz-polarization factor, no thermal factor.

Structural model:
Cell lengths 6.881, 6.881, 6.881 Å; angles 134.39, 134.39, 66.49 degrees
Fractional positions:
1 Ca 0.375 0.125 0.250
2 Ca 0.625 0.875 0.750
3 W 0.125 0.375 0.750
4 W 0.875 0.625 0.250
5 O 0.058 0.705 0.839
6 O 0.205 0.865 0.647
7 O 0.282 0.442 0.147
8 O 0.365 0.218 0.661
9 O 0.635 0.782 0.339
10 O 0.718 0.558 0.853
11 O 0.795 0.135 0.353
12 O 0.942 0.295 0.161

Peak list (8 most intense, 10 to 90 degrees two-theta, in order of rising 2θ)
2θ = 18.3°, 4.840 Å, I 59.2
2θ = 28.3°, 3.155 Å, I 100.0
2θ = 28.7°, 3.115 Å, I 22.9
2θ = 33.6°, 2.667 Å, I 20.0
2θ = 38.5°, 2.336 Å, I 16.8
2θ = 46.4°, 1.956 Å, I 31.0
2θ = 56.9°, 1.619 Å, I 27.4
2θ = 75.0°, 1.267 Å, I 19.3